LaTi2Os2: simulated X-ray diffraction stick pattern (Cu Kα (weighted mean of Kα1 and Kα2)), based on a structure optimized by DFT (PBE).
Peak positions follow from Bragg's law for the DFT cell and can differ from measured ones.

The 10 most intense peaks (2θ = 5–70°), most intense first:
| 2θ/deg | I/Imax |
| --- | --- |
| 40.0 | 100 |
| 36.3 | 81 |
| 25.5 | 58 |
| 34.5 | 32 |
| 38.2 | 23 |
| 52.3 | 22 |
| 59.1 | 21 |
| 56.5 | 20 |
| 67.8 | 11 |
| 32.4 | 10 |

Atomic structure:
```
LaTi2Os2
1.0
7.8218 0.0000 0.0000
0.0000 7.8218 0.0000
0.0000 0.0000 2.9502
La Ti Os
2 4 4
Direct
0.0000 0.0000 0.0000
0.5000 0.5000 0.0000
0.1359 0.3641 0.0000
0.3641 0.8641 0.0000
0.6359 0.1359 0.0000
0.8641 0.6359 0.0000
0.1470 0.6470 0.5000
0.3530 0.1470 0.5000
0.6470 0.8530 0.5000
0.8530 0.3530 0.5000
```

La8TlOs2: simulated X-ray diffraction stick pattern (Cu Kα (weighted mean of Kα1 and Kα2)), based on a structure optimized by DFT (PBE).
Peak positions follow from Bragg's law for the DFT cell and can differ from measured ones.

The 10 most intense peaks (2θ = 5–70°), most intense first:
| 2θ/deg | I/Imax |
| --- | --- |
| 32.6 | 100 |
| 29.8 | 83 |
| 32.2 | 76 |
| 32.3 | 66 |
| 36.4 | 42 |
| 28.7 | 42 |
| 36.0 | 40 |
| 49.7 | 34 |
| 44.4 | 31 |
| 59.9 | 31 |

Atomic structure:
```
La8TlOs2
1.0
4.4328 -7.1115 0.0000
4.4328 7.1115 0.0000
-1.2215 0.0000 5.5621
La Tl Os
8 1 2
Direct
0.0000 0.0000 0.0000
0.1907 0.1907 0.5861
0.2634 0.5178 0.2435
0.3407 0.8459 0.7922
0.5178 0.2634 0.2435
0.6713 0.9254 0.3401
0.8459 0.3407 0.7922
0.9254 0.6713 0.3401
0.5954 0.5954 0.7920
0.2963 0.8933 0.2927
0.8933 0.2963 0.2927
```